Calculated powder diffraction line list
Compound: ScTlCoF6
Radiation: copper Kα
Structure: a cell relaxed with PBE+U
Neutral-atom scattering factors, no anomalous dispersion.

Structure:
Unit cell a=7.6428 b=7.6428 c=7.6428 alpha=121.53 beta=119.19 gamma=89.39
Atoms (fractional coordinates):
Sc1 0.0000 0.0000 0.0000
Sc2 0.5000 0.0000 0.5000
Tl1 0.3090 0.5590 0.7500
Tl2 0.6910 0.4410 0.2500
Co1 0.0000 0.0000 0.5000
Co2 0.0000 0.5000 0.0000
F1 0.0565 0.3169 0.1357
F2 0.0565 0.9208 0.7396
F3 0.0703 0.3203 0.7500
F4 0.3156 0.0656 0.2500
F5 0.3188 0.0792 0.6357
F6 0.3188 0.6831 0.2396
F7 0.6812 0.3169 0.7604
F8 0.6812 0.9208 0.3643
F9 0.6844 0.9344 0.7500
F10 0.9297 0.6797 0.2500
F11 0.9435 0.0792 0.2604
F12 0.9435 0.6831 0.8643

The 12 most intense peaks (10° ≤ 2θ ≤ 80°), sorted by position:
| 2θ (°) | I (rel.) |
| --- | --- |
| 14.40 | 29 |
| 16.32 | 19 |
| 22.99 | 18 |
| 23.29 | 22 |
| 27.22 | 100 |
| 27.78 | 23 |
| 29.02 | 32 |
| 36.47 | 14 |
| 37.08 | 30 |
| 37.35 | 15 |
| 43.06 | 18 |
| 49.98 | 18 |